# Sc3Al2Pt6
Calculated powder XRD pattern, Cu Ka. Input: a PBE-relaxed structure.
Intensities are scaled so that the largest is 100.

Most intense lines, 2θ from 10° to 90°, by angle:
two_theta	Rel. int.
13.4	59.3
23.4	24.8
27.0	16.9
36.0	33.4
41.1	100.0
43.4	10.5
49.9	13.9
53.9	13.0
59.5	14.2
61.3	13.4
74.8	34.9
89.1	14.1

Cell and atoms:
```
Sc3Al2Pt6
1.0
-4.6620 4.6620 4.6620
4.6620 -4.6620 4.6620
4.6620 4.6620 -4.6620
Sc Al Pt
6 4 12
Direct
0.0000 0.3073 0.3073 Sc
0.0000 0.6927 0.6927 Sc
0.3073 0.0000 0.3073 Sc
0.3073 0.3073 0.0000 Sc
0.6927 0.0000 0.6927 Sc
0.6927 0.6927 0.0000 Sc
0.0000 0.0000 0.5000 Al
0.0000 0.5000 0.0000 Al
0.5000 0.0000 0.0000 Al
0.5000 0.5000 0.5000 Al
0.0000 0.3216 0.6784 Pt
0.0000 0.6784 0.3216 Pt
0.3216 0.0000 0.6784 Pt
0.3216 0.3216 0.6433 Pt
0.3216 0.6433 0.3216 Pt
0.3216 0.6784 0.0000 Pt
0.3567 0.6784 0.6784 Pt
0.6433 0.3216 0.3216 Pt
0.6784 0.0000 0.3216 Pt
0.6784 0.3216 0.0000 Pt
0.6784 0.3567 0.6784 Pt
0.6784 0.6784 0.3567 Pt
```


# Sc3Al8Pt3
Calculated powder XRD pattern, Cu Ka. Input: a PBE-relaxed structure.
Intensities are scaled so that the largest is 100.

Most intense lines, 2θ from 10° to 90°, by angle:
two_theta	Rel. int.
11.8	37.7
12.1	56.6
22.9	66.8
23.8	66.4
24.6	57.8
27.4	65.2
29.3	100.0
30.9	68.9
36.6	49.6
38.3	46.8
42.5	51.3
44.2	50.5

Cell and atoms:
```
Sc3Al8Pt3
1.0
7.5165 -2.1279 0.0000
7.5165 2.1279 0.0000
-5.8758 0.0000 7.4810
Sc Al Pt
3 8 3
Direct
0.0000 0.0000 0.0000 Sc
0.2813 0.2813 0.2826 Sc
0.7187 0.7187 0.7174 Sc
0.1471 0.1471 0.4375 Al
0.1541 0.1541 0.8688 Al
0.3621 0.3621 0.7390 Al
0.4978 0.4978 0.3418 Al
0.5022 0.5022 0.6582 Al
0.6379 0.6379 0.2610 Al
0.8459 0.8459 0.1312 Al
0.8529 0.8529 0.5625 Al
0.0000 0.0000 0.5000 Pt
0.3651 0.3651 0.0040 Pt
0.6349 0.6349 0.9960 Pt
```


# Sc3Al2Pt3
Calculated powder XRD pattern, Cu Ka. Input: a PBE-relaxed structure.
Intensities are scaled so that the largest is 100.

Most intense lines, 2θ from 10° to 90°, by angle:
two_theta	Rel. int.
13.0	27.9
22.5	52.6
26.1	24.7
28.1	100.0
33.5	43.4
38.7	84.4
39.6	43.3
40.7	46.4
42.9	21.7
51.2	57.5
52.8	22.5
75.8	23.5

Cell and atoms:
```
Sc3Al2Pt3
1.0
7.8864 0.0000 0.0000
-3.9432 6.8298 0.0000
0.0000 0.0000 5.3522
Sc Al Pt
6 4 6
Direct
0.0000 0.2639 0.2500 Sc
0.0000 0.7361 0.7500 Sc
0.2639 0.0000 0.2500 Sc
0.2639 0.2639 0.7500 Sc
0.7361 0.0000 0.7500 Sc
0.7361 0.7361 0.2500 Sc
0.3333 0.6667 0.0000 Al
0.3333 0.6667 0.5000 Al
0.6667 0.3333 0.0000 Al
0.6667 0.3333 0.5000 Al
0.0000 0.3937 0.7500 Pt
0.0000 0.6063 0.2500 Pt
0.3937 0.0000 0.7500 Pt
0.3937 0.3937 0.2500 Pt
0.6063 0.0000 0.2500 Pt
0.6063 0.6063 0.7500 Pt
```


Repeat the first record exactly.
# Sc3Al2Pt6
Calculated powder XRD pattern, Cu Ka. Input: a PBE-relaxed structure.
Intensities are scaled so that the largest is 100.

Most intense lines, 2θ from 10° to 90°, by angle:
two_theta	Rel. int.
13.4	59.3
23.4	24.8
27.0	16.9
36.0	33.4
41.1	100.0
43.4	10.5
49.9	13.9
53.9	13.0
59.5	14.2
61.3	13.4
74.8	34.9
89.1	14.1

Cell and atoms:
```
Sc3Al2Pt6
1.0
-4.6620 4.6620 4.6620
4.6620 -4.6620 4.6620
4.6620 4.6620 -4.6620
Sc Al Pt
6 4 12
Direct
0.0000 0.3073 0.3073 Sc
0.0000 0.6927 0.6927 Sc
0.3073 0.0000 0.3073 Sc
0.3073 0.3073 0.0000 Sc
0.6927 0.0000 0.6927 Sc
0.6927 0.6927 0.0000 Sc
0.0000 0.0000 0.5000 Al
0.0000 0.5000 0.0000 Al
0.5000 0.0000 0.0000 Al
0.5000 0.5000 0.5000 Al
0.0000 0.3216 0.6784 Pt
0.0000 0.6784 0.3216 Pt
0.3216 0.0000 0.6784 Pt
0.3216 0.3216 0.6433 Pt
0.3216 0.6433 0.3216 Pt
0.3216 0.6784 0.0000 Pt
0.3567 0.6784 0.6784 Pt
0.6433 0.3216 0.3216 Pt
0.6784 0.0000 0.3216 Pt
0.6784 0.3216 0.0000 Pt
0.6784 0.3567 0.6784 Pt
0.6784 0.6784 0.3567 Pt
```